For Tm2CuSi2Ir5, a structure optimized by DFT (PBE) gives the computed powder XRD pattern in this record (Cu Kα (λ = 1.5418 Å)).
Intensities are scaled so that the largest is 100.

Principal peaks in the range 10 to 90 degrees two-theta, in order of falling intensity:
| Position (°2θ) | Rel. int. |
| --- | --- |
| 39.48 | 100 |
| 38.76 | 73 |
| 33.21 | 57 |
| 42.86 | 37 |
| 67.32 | 29 |
| 37.08 | 25 |
| 52.72 | 25 |
| 39.93 | 24 |
| 42.19 | 22 |
| 25.65 | 20 |

Structural model:
Lattice parameters (Å, degrees): 9.578 9.578 3.473 90.00 90.00 90.00
Space group P4/mbm (No. 127)
Asymmetric unit:
Tm 0.174 0.326 0.000 [4 per cell]
Cu 0.000 0.000 0.000 [2 per cell]
Si 0.127 0.627 0.000 [4 per cell]
Ir 0.000 0.500 0.500 [2 per cell]
Ir 0.066 0.793 0.500 [8 per cell]